No. 1
Computed X-ray powder pattern of La4HoEr2 for Cu Kα (weighted mean of Kα1 and Kα2), from a structure optimized by DFT (PBE).

Lattice parameters (Å, degrees): 6.959 11.570 12.115 90.00 90.00 90.00
Space group Imma (No. 74)
One atom of each set of equivalent atoms:
La: 0.000 0.001 0.154 (multiplicity 8)
La: 0.218 0.250 0.992 (multiplicity 8)
Ho: 0.250 0.250 0.250 (multiplicity 4)
Er: 0.000 0.000 0.500 (multiplicity 4)
Er: 0.000 0.250 0.714 (multiplicity 4)

Main lines, low angle first (5 to 70 degrees two-theta):
hkl, d (Å), 2theta, intensity
1 0 3, 3.490, 25.52, 12
2 1 1, 3.213, 27.77, 20
0 0 4, 3.029, 29.49, 11
2 2 0, 2.987, 29.92, 100
0 4 0, 2.893, 30.91, 43
0 2 4, 2.683, 33.39, 21
2 2 2, 2.675, 33.50, 12
2 1 3, 2.570, 34.91, 13
4 0 0, 1.739, 52.62, 12
2 6 0, 1.688, 54.37, 19

***

No. 2
Computed X-ray powder pattern of La7HoEr3 for Cu Kα (weighted mean of Kα1 and Kα2), from a structure optimized by DFT (PBE).

Lattice parameters (Å, degrees): 6.716 6.922 9.065 110.18 98.27 96.43
Space group P1 (No. 1)
One atom of each set of equivalent atoms:
La: 0.000 0.000 0.000 (multiplicity 1)
La: 0.041 0.428 0.885 (multiplicity 1)
La: 0.158 0.711 0.626 (multiplicity 1)
La: 0.247 0.126 0.471 (multiplicity 1)
La: 0.361 0.541 0.289 (multiplicity 1)
La: 0.464 0.798 0.024 (multiplicity 1)
La: 0.750 0.229 0.306 (multiplicity 1)
Ho: 0.734 0.991 0.596 (multiplicity 1)
Er: 0.521 0.247 0.915 (multiplicity 1)
Er: 0.645 0.538 0.671 (multiplicity 1)
Er: 0.868 0.689 0.240 (multiplicity 1)

Main lines, low angle first (5 to 70 degrees two-theta):
hkl, d (Å), 2theta, intensity
0 1 2, 3.023, 29.55, 35
-2 1 1, 2.949, 30.31, 43
1 2 -1, 2.919, 30.63, 52
1 -2 2, 2.872, 31.14, 58
2 0 1, 2.860, 31.28, 100
0 0 3, 2.781, 32.18, 17
-1 2 1, 2.679, 33.45, 24
1 -3 0, 2.141, 42.22, 13
3 1 -2, 2.014, 45.00, 13
-3 3 2, 1.487, 62.45, 11

***

No. 3
Computed X-ray powder pattern of LaHo4Er5 for Cu Kα (weighted mean of Kα1 and Kα2), from a structure optimized by DFT (PBE).

Lattice parameters (Å, degrees): 3.541 6.588 14.199 99.11 94.05 102.90
Space group P-1 (No. 2)
One atom of each set of equivalent atoms:
La: 0.000 0.000 0.000 (multiplicity 1)
Ho: 0.105 0.802 0.218 (multiplicity 2)
Ho: 0.219 0.734 0.801 (multiplicity 2)
Er: 0.207 0.883 0.583 (multiplicity 2)
Er: 0.499 0.429 0.612 (multiplicity 2)
Er: 0.500 0.500 0.000 (multiplicity 1)

Main lines, low angle first (5 to 70 degrees two-theta):
hkl, d (Å), 2theta, intensity
-1 1 2, 3.049, 29.29, 62
0 2 -3, 2.861, 31.26, 100
0 0 5, 2.787, 32.12, 85
1 1 0, 2.753, 32.53, 79
1 -1 3, 2.711, 33.04, 73
0 2 2, 2.701, 33.17, 78
1 -2 0, 2.661, 33.68, 25
1 0 -4, 2.591, 34.62, 24
1 1 -5, 2.145, 42.13, 23
1 1 5, 1.813, 50.32, 29